For SrLaTiMnO6, DFT lattice parameters and positions (GGA+U) gives the theoretical X-ray diffraction stick pattern in this record (Cu Kα X-rays).
Neutral-atom scattering factors, no anomalous dispersion.

Cell and atoms:
```
data_SrLaTiMnO6
_cell_length_a 5.5487
_cell_length_b 5.5344
_cell_length_c 9.5591
_cell_angle_alpha 90.00
_cell_angle_beta 125.17
_cell_angle_gamma 90.00
_space_group_name_H-M_alt 'P 1 c 1'
_space_group_IT_number 7
loop_
_space_group_symop_operation_xyz
'x,y,z'
'x,-y,z+1/2'
loop_
_atom_site_label
_atom_site_type_symbol
_atom_site_fract_x
_atom_site_fract_y
_atom_site_fract_z
Sr1 Sr 0.0000 0.2317 0.0000
La1 La 0.5116 0.2771 0.5027
Ti1 Ti 0.2545 0.2472 0.7517
Mn1 Mn 0.7536 0.2495 0.2509
O1 O 0.0691 0.2465 0.5014
O2 O 0.4542 0.2577 0.0002
O3 O 0.5063 0.0281 0.2816
O4 O 0.5476 0.4791 0.7783
O5 O 0.9459 0.0301 0.7187
O6 O 0.9968 0.4803 0.2242
```

Most intense lines, 10° ≤ 2θ ≤ 80°, in order of rising 2θ:
| 2theta | Rel. int. |
| --- | --- |
| 22.72 | 16 |
| 32.30 | 100 |
| 32.42 | 50 |
| 39.94 | 20 |
| 46.34 | 33 |
| 46.49 | 17 |
| 57.50 | 16 |
| 57.71 | 28 |
| 67.57 | 14 |
| 77.06 | 11 |